This entry pairs a crystal structure of Pa12Tc7Au with its computed powder XRD pattern. Radiation: Cu Kα (weighted mean of Kα1 and Kα2). Structure: the GGA-PBE geometry in Alexandria.

Largest 8 diffraction maxima, in order of falling intensity, 5° ≤ 2θ ≤ 70°:
2theta  d_spacing  I_rel
28.1  3.181  100
33.3  2.688  64
56.4  1.632  40
53.1  1.725  38
44.1  2.053  35
30.8  2.903  33
35.7  2.514  27
42.1  2.144  15

Atomic structure:
```
data_Pa12Tc7Au
_chemical_formula_sum 'Pa24 Tc14 Au2'
_space_group_name_H-M_alt 'I m -3'
_space_group_IT_number 204
_space_group_name_Hall '-I 2 2 3'
_cell_length_a 10.0578
_cell_length_b 10.0578
_cell_length_c 10.0578
_cell_angle_alpha 90.00
_cell_angle_beta 90.00
_cell_angle_gamma 90.00
loop_
_atom_site_label
_atom_site_type_symbol
_atom_site_fract_x
_atom_site_fract_y
_atom_site_fract_z
_atom_site_occupancy
Pa1 Pa 0.0000 0.1942 0.3203 1
Tc1 Tc 0.0000 0.0000 0.5000 1
Tc2 Tc 0.2500 0.2500 0.2500 1
Au1 Au 0.0000 0.0000 0.0000 1
```